This entry pairs a crystal structure of Cd2IO6 with its computed powder XRD pattern. Radiation: Cu Kα X-rays. Structure: a structure optimized by DFT (PBE).
Kinematic intensities with the Lorentz-polarization factor, no thermal factor.

Crystal structure
```
18
Lattice="5.022 0.000 0.000 0.000 5.022 0.000 0.000 0.000 9.964" Properties=species:S:1:pos:R:3 pbc="T T T"
Cd 0.000 0.000 1.646
Cd 0.000 0.000 8.318
Cd 2.511 2.511 3.336
Cd 2.511 2.511 6.629
I 0.000 0.000 4.982
I 2.511 2.511 0.000
O 0.908 0.908 3.577
O 0.908 0.908 6.387
O 1.160 1.160 0.000
O 1.350 3.671 4.982
O 1.602 3.419 1.405
O 1.602 3.419 8.559
O 3.419 1.602 1.405
O 3.419 1.602 8.559
O 3.671 1.350 4.982
O 3.861 3.861 0.000
O 4.113 4.113 3.577
O 4.113 4.113 6.387
```

Largest 10 diffraction maxima, in order of rising 2θ, 2θ from 15° to 90°:
Position (°2θ)	I_rel	h k l
25.1	100	1 1 0
32.3	81	1 0 3
35.8	23	2 0 0
49.0	64	2 1 3
51.5	16	2 2 0
58.1	15	3 1 0
61.7	15	1 1 6
62.1	19	3 0 3
73.8	14	3 2 3
84.8	12	4 1 3